# 1
This entry pairs a crystal structure of LaNd2Sm7 with its calculated PXRD pattern. Radiation: Cu Kα X-rays. Structure: a structure optimized by DFT (GGA-PBE).

Crystal structure
```
10
Lattice="6.538 0.000 0.000 0.257 6.832 0.000 2.820 1.535 7.853" Properties=species:S:1:pos:R:3 pbc="T T T"
La 0.000 0.000 0.000
Nd 2.076 4.810 2.405
Nd 7.539 3.557 5.448
Sm 1.131 1.629 2.552
Sm 4.555 4.907 7.043
Sm 4.228 2.462 4.325
Sm 3.269 0.000 0.000
Sm 5.388 5.904 3.528
Sm 5.060 3.459 0.810
Sm 8.484 6.737 5.301
```

The 10 most intense peaks (10° ≤ 2θ ≤ 90°), by angle:
2θ = 27.36°, rel. 28
2θ = 30.78°, rel. 54
2θ = 30.95°, rel. 100
2θ = 31.09°, rel. 76
2θ = 31.61°, rel. 74
2θ = 31.79°, rel. 84
2θ = 32.00°, rel. 39
2θ = 32.31°, rel. 72
2θ = 32.42°, rel. 63
2θ = 34.28°, rel. 25



# 2
This entry pairs a crystal structure of La5Nd3Sm4 with its calculated PXRD pattern. Radiation: Cu Kα X-rays. Structure: a structure optimized by DFT (GGA-PBE).

Crystal structure
```
12
Lattice="6.396 0.000 0.000 -0.010 7.358 0.000 -0.018 -0.041 9.057" Properties=species:S:1:pos:R:3 pbc="T T T"
La 0.000 0.000 0.000
La 2.117 3.664 3.031
La 3.197 1.831 0.002
La 3.171 5.486 9.055
La 4.251 3.653 6.026
Nd -0.005 3.679 0.000
Nd 1.053 1.799 6.024
Nd 5.315 5.517 3.033
Sm 1.047 5.507 6.025
Sm 2.134 -0.013 3.042
Sm 4.234 7.330 6.016
Sm 5.321 1.810 3.033
```

The 10 most intense peaks (10° ≤ 2θ ≤ 90°), by angle:
2θ = 29.63°, rel. 100
2θ = 29.71°, rel. 33
2θ = 34.31°, rel. 45
2θ = 34.49°, rel. 22
2θ = 49.40°, rel. 32
2θ = 58.53°, rel. 15
2θ = 58.63°, rel. 19
2θ = 58.76°, rel. 14
2θ = 58.90°, rel. 10
2θ = 61.57°, rel. 8



# 3
This entry pairs a crystal structure of La2NdSm4 with its calculated PXRD pattern. Radiation: Cu Kα X-rays. Structure: a structure optimized by DFT (GGA-PBE).

Crystal structure
```
14
Lattice="5.625 -5.625 0.000 5.625 5.625 0.000 -0.051 0.000 8.184" Properties=species:S:1:pos:R:3 pbc="T T T"
La 0.000 0.000 0.000
La -0.026 0.000 4.092
La 2.812 2.812 0.000
La 2.812 -2.812 0.000
Nd 5.625 0.000 0.000
Nd 5.599 0.000 4.092
Sm 5.566 2.800 5.867
Sm 2.812 0.000 2.316
Sm 2.785 0.000 5.866
Sm 5.633 2.800 2.317
Sm 5.566 -2.800 5.867
Sm 8.413 0.000 2.318
Sm 8.386 0.000 5.868
Sm 5.633 -2.800 2.317
```

The 10 most intense peaks (10° ≤ 2θ ≤ 90°), by angle:
2θ = 24.89°, rel. 25
2θ = 31.29°, rel. 95
2θ = 31.43°, rel. 93
2θ = 31.82°, rel. 100
2θ = 45.62°, rel. 37
2θ = 55.54°, rel. 13
2θ = 56.27°, rel. 20
2θ = 56.40°, rel. 35
2θ = 56.54°, rel. 17
2θ = 75.60°, rel. 16



# 4
This entry pairs a crystal structure of La8Nd3Sm with its calculated PXRD pattern. Radiation: Cu Kα X-rays. Structure: a structure optimized by DFT (GGA-PBE).

Crystal structure
```
12
Lattice="-3.229 4.569 7.383 3.229 -4.569 7.383 3.229 4.569 -7.383" Properties=species:S:1:pos:R:3 pbc="T T T"
La 2.248 -1.342 3.200
La 2.387 -2.991 5.975
La 0.841 1.578 1.408
La 4.209 1.342 3.200
La 0.981 3.227 4.184
La 0.841 7.559 -1.408
La 2.387 2.991 8.791
La -0.981 5.911 4.184
Nd 0.000 0.000 5.656
Nd 0.000 4.569 0.000
Nd 0.000 0.000 9.111
Sm 3.229 0.000 0.000
```

The 10 most intense peaks (10° ≤ 2θ ≤ 90°), by angle:
2θ = 24.62°, rel. 33
2θ = 29.54°, rel. 100
2θ = 29.96°, rel. 82
2θ = 30.06°, rel. 48
2θ = 34.76°, rel. 31
2θ = 36.17°, rel. 29
2θ = 40.45°, rel. 21
2θ = 52.61°, rel. 21
2θ = 58.12°, rel. 36
2θ = 61.30°, rel. 18



# 5
This entry pairs a crystal structure of La8Nd3Sm2 with its calculated PXRD pattern. Radiation: Cu Kα X-rays. Structure: a structure optimized by DFT (GGA-PBE).

Crystal structure
```
13
Lattice="6.862 -5.941 0.000 6.862 5.941 0.000 -2.548 0.000 5.767" Properties=species:S:1:pos:R:3 pbc="T T T"
La -0.119 0.000 1.644
La 2.391 3.170 4.819
La 3.881 0.000 2.450
La 8.785 3.170 0.948
La 2.391 -3.170 4.819
La 7.295 0.000 3.317
La 8.785 -3.170 0.948
La 11.295 0.000 4.123
Nd 5.588 2.936 2.883
Nd 6.862 0.000 0.000
Nd 5.588 -2.936 2.883
Sm 0.914 0.000 4.617
Sm 10.262 0.000 1.149
```

The 10 most intense peaks (10° ≤ 2θ ≤ 90°), by angle:
2θ = 28.37°, rel. 23
2θ = 29.09°, rel. 36
2θ = 29.82°, rel. 28
2θ = 30.09°, rel. 54
2θ = 30.35°, rel. 100
2θ = 31.99°, rel. 27
2θ = 36.85°, rel. 20
2θ = 41.83°, rel. 15
2θ = 52.25°, rel. 15
2θ = 53.59°, rel. 25



# 6
This entry pairs a crystal structure of La4NdSm15 with its calculated PXRD pattern. Radiation: Cu Kα X-rays. Structure: a structure optimized by DFT (GGA-PBE).

Crystal structure
```
20
Lattice="5.180 0.000 0.000 0.000 5.180 0.000 0.000 0.000 25.804" Properties=species:S:1:pos:R:3 pbc="T T T"
La 0.000 0.000 2.583
La 0.000 0.000 7.740
La 0.000 0.000 18.064
La 0.000 0.000 23.221
Nd 0.000 0.000 12.902
Sm 0.000 2.590 0.000
Sm 0.000 2.590 5.166
Sm 0.000 2.590 10.343
Sm 0.000 2.590 15.461
Sm 0.000 2.590 20.638
Sm 2.590 0.000 0.000
Sm 2.590 0.000 5.166
Sm 2.590 0.000 10.343
Sm 2.590 0.000 15.461
Sm 2.590 0.000 20.638
Sm 2.590 2.590 2.582
Sm 2.590 2.590 7.761
Sm 2.590 2.590 12.902
Sm 2.590 2.590 18.044
Sm 2.590 2.590 23.223
```

The 10 most intense peaks (10° ≤ 2θ ≤ 90°), by angle:
2θ = 29.91°, rel. 100
2θ = 34.63°, rel. 34
2θ = 34.77°, rel. 17
2θ = 49.78°, rel. 12
2θ = 49.88°, rel. 24
2θ = 59.17°, rel. 29
2θ = 59.35°, rel. 14
2θ = 62.15°, rel. 12
2θ = 81.06°, rel. 12
2θ = 83.48°, rel. 11



# 7
This entry pairs a crystal structure of La5Nd2Sm3 with its calculated PXRD pattern. Radiation: Cu Kα X-rays. Structure: a structure optimized by DFT (GGA-PBE).

Crystal structure
```
20
Lattice="-4.989 8.489 4.307 4.989 -8.489 4.307 4.989 8.489 -4.307" Properties=species:S:1:pos:R:3 pbc="T T T"
La 4.989 4.344 -2.153
La 0.943 2.219 0.000
La 0.000 0.000 2.153
La 5.932 6.269 0.000
La 0.000 4.145 2.153
La 4.989 4.344 2.153
La -0.943 2.219 4.307
La 0.000 0.000 6.460
La 4.046 6.269 4.307
La 0.000 4.145 6.460
Nd 3.862 2.088 0.000
Nd 3.862 -2.088 4.307
Nd 1.127 10.576 0.000
Nd 1.127 6.401 4.307
Sm 7.402 2.061 0.000
Sm 4.989 0.000 2.153
Sm 2.413 6.428 0.000
Sm 2.576 2.061 4.307
Sm 0.000 8.489 2.153
Sm -2.413 6.428 4.307
```

The 10 most intense peaks (10° ≤ 2θ ≤ 90°), by angle:
2θ = 17.78°, rel. 14
2θ = 27.36°, rel. 32
2θ = 27.59°, rel. 30
2θ = 29.55°, rel. 100
2θ = 30.68°, rel. 59
2θ = 41.98°, rel. 30
2θ = 42.60°, rel. 18
2θ = 42.96°, rel. 24
2θ = 43.27°, rel. 23
2θ = 61.30°, rel. 19



# 8
This entry pairs a crystal structure of La12Nd7Sm with its calculated PXRD pattern. Radiation: Cu Kα X-rays. Structure: a structure optimized by DFT (GGA-PBE).

Crystal structure
```
20
Lattice="6.312 3.644 5.236 -6.312 3.644 5.236 0.000 -7.289 5.236" Properties=species:S:1:pos:R:3 pbc="T T T"
La -5.543 0.694 6.613
La -3.372 -4.454 9.096
La -0.859 -3.431 6.981
La -3.400 -0.971 8.727
La -2.541 2.459 6.981
La 2.171 -5.147 6.612
La -2.171 5.147 9.096
La 2.541 -2.459 8.727
La 3.400 0.971 6.981
La 0.859 3.431 8.727
La 3.372 4.454 6.613
La 5.543 -0.694 9.096
Nd 0.000 0.000 0.000
Nd -1.978 -0.623 4.737
Nd 1.529 -1.402 4.737
Nd 0.450 2.025 4.737
Nd -0.450 -2.025 10.971
Nd -1.529 1.402 10.971
Nd 1.978 0.623 10.971
Sm 0.000 0.000 7.854
```

The 10 most intense peaks (10° ≤ 2θ ≤ 90°), by angle:
2θ = 27.98°, rel. 20
2θ = 29.58°, rel. 27
2θ = 29.87°, rel. 37
2θ = 30.01°, rel. 100
2θ = 31.43°, rel. 44
2θ = 31.63°, rel. 67
2θ = 32.88°, rel. 16
2θ = 37.18°, rel. 15
2θ = 52.24°, rel. 27
2θ = 55.38°, rel. 16